Rb3PdBr8: simulated X-ray diffraction stick pattern (Cu Ka), based on a structure optimized by DFT (GGA-PBE).

```
data_Rb3PdBr8
_chemical_formula_sum 'Rb6 Pd2 Br16'
_cell_length_a 8.6866
_cell_length_b 8.6866
_cell_length_c 11.5628
_cell_angle_alpha 90.00
_cell_angle_beta 90.00
_cell_angle_gamma 90.00
_symmetry_space_group_name_H-M 'I 4/m m m'
_symmetry_Int_Tables_number 139
_symmetry_space_group_name_Hall '-I 4 2'
loop_
_atom_site_label
_atom_site_fract_x
_atom_site_fract_y
_atom_site_fract_z
Rb1 0.0000 0.0000 0.0000
Rb2 0.0000 0.5000 0.2500
Pd1 0.0000 0.0000 0.5000
Br1 0.2129 0.2129 0.3709
```

Principal peaks in the range 10° ≤ 2θ ≤ 80°, low angle first:
- (1 0 1), 2θ 12.7, I 25
- (2 0 0), 2θ 20.4, I 13
- (1 1 2), 2θ 21.1, I 66
- (2 2 0), 2θ 29.1, I 87
- (3 0 1), 2θ 31.9, I 12
- (3 1 2), 2θ 36.2, I 34
- (2 0 4), 2θ 37.4, I 100
- (3 2 1), 2θ 38.2, I 17
- (4 0 0), 2θ 41.6, I 23
- (4 2 4), 2θ 57.1, I 32